Theoretical powder X-ray diffraction pattern of CrAg2O4 for λ = 1.5418 Å (Cu Kα), from the GGA+U geometry in Alexandria.

Most intense lines, 10° ≤ 2θ ≤ 80°, in order of rising 2θ:
- 2θ 20.67, d 4.298, rel. 838, hkl 1 1 0
- 2θ 21.19, d 4.193, rel. 398, hkl 1 0 1
- 2θ 29.39, d 3.039, rel. 1000, hkl 2 0 0
- 2θ 30.87, d 2.896, rel. 412, hkl 0 0 2
- 2θ 37.44, d 2.402, rel. 568, hkl 1 1 2
- 2θ 42.05, d 2.149, rel. 491, hkl 2 2 0
- 2θ 43.15, d 2.097, rel. 926, hkl 2 0 2
- 2θ 53.07, d 1.726, rel. 433, hkl 2 2 2

a b c (Å): 6.0780 6.0780 5.7926
angles (deg): 90.00 90.00 90.00
Space group I-42m (No. 121)
Asymmetric unit:
Cr1 0.0000 0.0000 0.0000 (multiplicity 2)
Ag1 0.0000 0.5000 0.0000 (multiplicity 4)
O1 0.1591 0.1591 0.1697 (multiplicity 8)